# CaTlI3
Computed powder diffraction line list, copper Kα. Input: a crystal structure in the Materials Project, relaxed with PBE.
Neutral-atom scattering factors, no anomalous dispersion.

Structural model:
Lattice parameters (Å, degrees): 7.999 7.999 11.760 90.00 90.00 146.40
Sites, in units of the cell vectors:
Ca 0.000 0.000 0.000
Ca 0.000 0.000 0.500
Tl 0.249 0.751 0.750
Tl 0.751 0.249 0.250
I 0.077 0.923 0.250
I 0.365 0.635 0.054
I 0.365 0.635 0.446
I 0.635 0.365 0.554
I 0.635 0.365 0.946
I 0.923 0.077 0.750

Peak list (10 most intense, 2θ from 10° to 90°, in order of falling intensity)
two_theta  I/Imax
27.10  100
30.44  73
25.53  42
38.44  41
46.85  35
25.18  34
27.81  30
26.00  28
38.96  26
47.16  21